LiLa4Ti3O12: calculated PXRD pattern (CuKα), based on a cell relaxed with GGA-PBE.
Neutral-atom scattering factors, no anomalous dispersion.

Top 10 peaks for 10 to 80 degrees two-theta, most intense first:
| 2θ/deg | intensity |
| --- | --- |
| 31.90 | 100 |
| 32.09 | 63 |
| 22.47 | 47 |
| 31.60 | 29 |
| 39.56 | 27 |
| 22.31 | 22 |
| 45.95 | 20 |
| 57.03 | 19 |
| 45.80 | 18 |
| 45.53 | 17 |

Structure:
a b c (Å): 5.577 5.663 7.901
angles (deg): 90.27 90.13 90.31
Sites, in units of the cell vectors:
Li 0.000 0.000 0.000
La 0.010 0.449 0.238
La 0.493 0.963 0.240
La 0.507 0.037 0.760
La 0.990 0.551 0.762
Ti 0.000 0.000 0.500
Ti 0.500 0.500 0.000
Ti 0.500 0.500 0.500
O 0.084 0.978 0.737
O 0.215 0.691 0.040
O 0.220 0.716 0.453
O 0.283 0.220 0.456
O 0.308 0.214 0.040
O 0.421 0.484 0.749
O 0.579 0.516 0.251
O 0.692 0.786 0.960
O 0.717 0.780 0.544
O 0.780 0.284 0.547
O 0.785 0.309 0.960
O 0.916 0.022 0.263

***

LiLaTiO4: calculated PXRD pattern (CuKα), based on a cell relaxed with GGA-PBE.
Neutral-atom scattering factors, no anomalous dispersion.

Top 10 peaks for 10 to 80 degrees two-theta, most intense first:
| 2θ/deg | intensity |
| --- | --- |
| 27.70 | 100 |
| 33.57 | 38 |
| 32.18 | 32 |
| 56.51 | 27 |
| 48.21 | 26 |
| 44.90 | 25 |
| 34.37 | 20 |
| 50.35 | 19 |
| 36.39 | 15 |
| 43.82 | 12 |

Structure:
a b c (Å): 3.775 3.775 12.343
angles (deg): 90.00 90.00 90.00
Sites, in units of the cell vectors:
Li 0.250 0.750 0.000
Li 0.750 0.250 0.000
La 0.250 0.250 0.383
La 0.750 0.750 0.617
Ti 0.250 0.250 0.794
Ti 0.750 0.750 0.206
O 0.250 0.250 0.575
O 0.250 0.250 0.939
O 0.250 0.750 0.246
O 0.250 0.750 0.754
O 0.750 0.250 0.246
O 0.750 0.250 0.754
O 0.750 0.750 0.061
O 0.750 0.750 0.425

***

Li3La5Ti8O24: calculated PXRD pattern (CuKα), based on a cell relaxed with GGA-PBE.
Neutral-atom scattering factors, no anomalous dispersion.

Top 10 peaks for 10 to 80 degrees two-theta, most intense first:
| 2θ/deg | intensity |
| --- | --- |
| 32.48 | 100 |
| 32.37 | 97 |
| 11.36 | 64 |
| 46.63 | 49 |
| 57.89 | 40 |
| 39.99 | 36 |
| 46.28 | 26 |
| 25.42 | 26 |
| 25.56 | 23 |
| 34.42 | 17 |

Structure:
a b c (Å): 8.762 8.762 8.733
angles (deg): 113.88 113.88 52.81
Sites, in units of the cell vectors:
Li 0.000 0.000 0.000
Li 0.284 0.284 0.985
Li 0.716 0.716 0.015
La 0.131 0.131 0.509
La 0.371 0.371 0.485
La 0.500 0.500 0.000
La 0.629 0.629 0.515
La 0.869 0.869 0.491
Ti 0.061 0.572 0.761
Ti 0.183 0.688 0.241
Ti 0.312 0.817 0.759
Ti 0.428 0.939 0.239
Ti 0.572 0.061 0.761
Ti 0.688 0.183 0.241
Ti 0.817 0.312 0.759
Ti 0.939 0.428 0.239
O 0.000 0.500 0.500
O 0.042 0.042 0.693
O 0.053 0.576 0.259
O 0.112 0.679 0.003
O 0.190 0.190 0.275
O 0.208 0.655 0.725
O 0.303 0.697 0.500
O 0.318 0.318 0.784
O 0.321 0.888 0.997
O 0.345 0.792 0.275
O 0.414 0.414 0.197
O 0.424 0.947 0.741
O 0.500 0.000 0.500
O 0.576 0.053 0.259
O 0.586 0.586 0.803
O 0.655 0.208 0.725
O 0.679 0.112 0.003
O 0.682 0.682 0.216
O 0.697 0.303 0.500
O 0.792 0.345 0.275
O 0.810 0.810 0.725
O 0.888 0.321 0.997
O 0.947 0.424 0.741
O 0.958 0.958 0.307

***

LiLa3Ti2O9: calculated PXRD pattern (CuKα), based on a cell relaxed with GGA-PBE.
Neutral-atom scattering factors, no anomalous dispersion.

Top 10 peaks for 10 to 80 degrees two-theta, most intense first:
| 2θ/deg | intensity |
| --- | --- |
| 32.24 | 100 |
| 32.39 | 99 |
| 22.70 | 79 |
| 46.35 | 70 |
| 57.71 | 57 |
| 39.92 | 56 |
| 67.81 | 21 |
| 67.46 | 20 |
| 52.31 | 19 |
| 57.39 | 18 |

Structure:
a b c (Å): 5.528 5.528 6.818
angles (deg): 90.00 90.00 120.00
Sites, in units of the cell vectors:
Li 0.000 0.000 0.000
La 0.000 0.000 0.500
La 0.333 0.667 0.153
La 0.667 0.333 0.847
Ti 0.333 0.667 0.677
Ti 0.667 0.333 0.323
O 0.000 0.500 0.500
O 0.169 0.339 0.829
O 0.169 0.831 0.829
O 0.339 0.169 0.171
O 0.500 0.000 0.500
O 0.500 0.500 0.500
O 0.661 0.831 0.829
O 0.831 0.169 0.171
O 0.831 0.661 0.171

***

LiLa5Ti8O24: calculated PXRD pattern (CuKα), based on a cell relaxed with GGA-PBE.
Neutral-atom scattering factors, no anomalous dispersion.

Top 10 peaks for 10 to 80 degrees two-theta, most intense first:
| 2θ/deg | intensity |
| --- | --- |
| 32.42 | 100 |
| 11.29 | 46 |
| 46.29 | 32 |
| 57.83 | 23 |
| 67.88 | 21 |
| 32.13 | 20 |
| 57.47 | 16 |
| 25.58 | 16 |
| 46.73 | 16 |
| 39.80 | 12 |

Structure:
a b c (Å): 8.763 8.763 8.737
angles (deg): 113.32 113.32 52.68
Sites, in units of the cell vectors:
Li 0.000 0.000 0.000
La 0.184 0.184 0.573
La 0.431 0.431 0.556
La 0.681 0.681 0.575
La 0.802 0.802 0.072
La 0.932 0.932 0.570
Ti 0.129 0.615 0.827
Ti 0.247 0.741 0.306
Ti 0.363 0.874 0.832
Ti 0.487 0.995 0.310
Ti 0.615 0.129 0.827
Ti 0.741 0.247 0.306
Ti 0.874 0.363 0.832
Ti 0.995 0.487 0.310
O 0.000 0.493 0.802
O 0.016 0.016 0.375
O 0.080 0.569 0.576
O 0.113 0.646 0.330
O 0.118 0.118 0.780
O 0.134 0.737 0.074
O 0.224 0.779 0.828
O 0.258 0.258 0.345
O 0.344 0.772 0.580
O 0.382 0.382 0.813
O 0.384 0.886 0.358
O 0.450 0.942 0.076
O 0.493 0.000 0.802
O 0.498 0.498 0.315
O 0.569 0.080 0.576
O 0.640 0.640 0.837
O 0.646 0.113 0.330
O 0.737 0.134 0.074
O 0.757 0.757 0.337
O 0.772 0.344 0.580
O 0.779 0.224 0.828
O 0.860 0.860 0.796
O 0.886 0.384 0.358
O 0.942 0.450 0.076

***

LiLa3Ti4O12: calculated PXRD pattern (CuKα), based on a cell relaxed with GGA-PBE.
Neutral-atom scattering factors, no anomalous dispersion.

Top 10 peaks for 10 to 80 degrees two-theta, most intense first:
| 2θ/deg | intensity |
| --- | --- |
| 32.31 | 100 |
| 32.44 | 67 |
| 31.91 | 33 |
| 45.88 | 24 |
| 16.05 | 23 |
| 46.32 | 23 |
| 11.18 | 22 |
| 46.74 | 21 |
| 39.63 | 20 |
| 40.01 | 18 |

Structure:
a b c (Å): 5.521 5.521 7.913
angles (deg): 90.57 90.57 89.50
Sites, in units of the cell vectors:
Li 0.000 0.000 0.000
La 0.431 0.431 0.567
La 0.452 0.452 0.071
La 0.930 0.930 0.557
Ti 0.437 0.938 0.310
Ti 0.450 0.943 0.826
Ti 0.938 0.437 0.310
Ti 0.943 0.450 0.826
O 0.151 0.151 0.776
O 0.171 0.171 0.373
O 0.215 0.659 0.327
O 0.247 0.642 0.819
O 0.381 0.978 0.069
O 0.487 0.901 0.572
O 0.642 0.247 0.819
O 0.659 0.215 0.327
O 0.703 0.703 0.283
O 0.746 0.746 0.863
O 0.901 0.487 0.572
O 0.978 0.381 0.069

***

LiLa5Ti8O24: calculated PXRD pattern (CuKα), based on a cell relaxed with GGA-PBE.
Neutral-atom scattering factors, no anomalous dispersion.

Top 10 peaks for 10 to 80 degrees two-theta, most intense first:
| 2θ/deg | intensity |
| --- | --- |
| 32.41 | 100 |
| 16.05 | 65 |
| 27.82 | 28 |
| 32.10 | 25 |
| 32.27 | 24 |
| 46.23 | 21 |
| 57.63 | 20 |
| 57.42 | 20 |
| 46.09 | 19 |
| 46.82 | 19 |

Structure:
a b c (Å): 7.856 7.762 7.878
angles (deg): 90.00 90.29 90.00
Sites, in units of the cell vectors:
Li 0.000 0.000 0.000
La 0.000 0.500 0.177
La 0.000 0.500 0.673
La 0.489 0.000 0.171
La 0.500 0.000 0.671
La 0.501 0.500 0.657
Ti 0.243 0.244 0.419
Ti 0.243 0.756 0.419
Ti 0.247 0.252 0.927
Ti 0.247 0.748 0.927
Ti 0.746 0.248 0.924
Ti 0.746 0.752 0.924
Ti 0.752 0.247 0.415
Ti 0.752 0.753 0.415
O 0.231 0.500 0.414
O 0.235 0.000 0.910
O 0.240 0.500 0.967
O 0.243 0.217 0.187
O 0.243 0.783 0.187
O 0.252 0.294 0.690
O 0.252 0.706 0.690
O 0.266 0.000 0.466
O 0.490 0.254 0.449
O 0.490 0.746 0.449
O 0.492 0.221 0.934
O 0.492 0.779 0.934
O 0.711 0.000 0.403
O 0.729 0.223 0.689
O 0.729 0.777 0.689
O 0.736 0.500 0.889
O 0.747 0.500 0.480
O 0.748 0.287 0.187
O 0.748 0.713 0.187
O 0.750 0.000 0.975
O 0.991 0.270 0.440
O 0.991 0.730 0.440
O 0.992 0.268 0.938
O 0.992 0.732 0.938

***

LiLa5Ti8O24: calculated PXRD pattern (CuKα), based on a cell relaxed with GGA-PBE.
Neutral-atom scattering factors, no anomalous dispersion.

Top 10 peaks for 10 to 80 degrees two-theta, most intense first:
| 2θ/deg | intensity |
| --- | --- |
| 32.49 | 100 |
| 11.29 | 65 |
| 32.33 | 49 |
| 57.76 | 39 |
| 46.38 | 39 |
| 25.45 | 29 |
| 40.01 | 28 |
| 25.62 | 22 |
| 68.04 | 21 |
| 16.05 | 20 |

Structure:
a b c (Å): 7.759 7.838 7.825
angles (deg): 90.00 90.00 90.00
Sites, in units of the cell vectors:
Li 0.000 0.000 0.000
La 0.000 0.500 0.373
La 0.000 0.500 0.882
La 0.500 0.000 0.853
La 0.500 0.500 0.373
La 0.500 0.500 0.858
Ti 0.245 0.238 0.618
Ti 0.245 0.762 0.618
Ti 0.249 0.240 0.128
Ti 0.249 0.760 0.128
Ti 0.751 0.240 0.128
Ti 0.751 0.760 0.128
Ti 0.755 0.238 0.618
Ti 0.755 0.762 0.618
O 0.000 0.229 0.106
O 0.000 0.301 0.624
O 0.000 0.699 0.624
O 0.000 0.771 0.106
O 0.210 0.500 0.128
O 0.231 0.000 0.652
O 0.246 0.263 0.370
O 0.246 0.737 0.370
O 0.260 0.277 0.869
O 0.260 0.723 0.869
O 0.276 0.000 0.087
O 0.290 0.500 0.607
O 0.500 0.226 0.629
O 0.500 0.292 0.119
O 0.500 0.708 0.119
O 0.500 0.774 0.629
O 0.710 0.500 0.607
O 0.724 0.000 0.087
O 0.740 0.277 0.869
O 0.740 0.723 0.869
O 0.754 0.263 0.370
O 0.754 0.737 0.370
O 0.769 0.000 0.652
O 0.790 0.500 0.128